[1]
Starting from a DFT-relaxed cell (GGA-PBE, Alexandria), the X-ray powder pattern of Pm2FeSi3Ni12 was computed for λ = 1.5418 Å (Cu Kα).

Main lines, in order of rising 2θ (2θ from 15° to 90°):
2θ 30.54, d 2.927, intensity 36; 2θ 31.37, d 2.852, intensity 100; 2θ 36.78, d 2.444, intensity 55; 2θ 37.13, d 2.421, intensity 87; 2θ 46.19, d 1.965, intensity 39; 2θ 60.94, d 1.520, intensity 37

Structural model:
```
Pm2FeSi3Ni12
1.0
3.041 1.756 8.214
-3.041 1.756 8.214
0.000 -3.511 8.214
Pm Fe Si Ni
2 1 3 12
direct
0.151 0.151 0.151
0.849 0.849 0.849
0.500 0.500 0.500
0.000 0.500 0.500
0.500 0.000 0.500
0.500 0.500 0.000
0.090 0.090 0.687
0.090 0.687 0.090
0.149 0.567 0.567
0.313 0.910 0.910
0.433 0.433 0.851
0.433 0.851 0.433
0.567 0.149 0.567
0.567 0.567 0.149
0.687 0.090 0.090
0.851 0.433 0.433
0.910 0.313 0.910
0.910 0.910 0.313
```

---

[2]
Starting from a DFT-relaxed cell (GGA-PBE, Alexandria), the X-ray powder pattern of CsCdPtCl6 was computed for λ = 1.5418 Å (Cu Kα).

Main lines, in order of rising 2θ (2θ from 15° to 90°):
2θ 18.50, d 4.796, intensity 100; 2θ 19.27, d 4.606, intensity 90; 2θ 19.44, d 4.565, intensity 100; 2θ 27.02, d 3.300, intensity 50; 2θ 33.83, d 2.650, intensity 64; 2θ 36.08, d 2.489, intensity 80

Structural model:
```
CsCdPtCl6
1.0
3.459 -5.635 0.000
3.459 5.635 0.000
-0.383 0.000 7.789
Cs Cd Pt Cl
1 1 1 6
direct
0.000 0.000 0.000
0.328 0.672 0.500
0.674 0.326 0.500
0.386 0.340 0.327
0.394 0.009 0.706
0.654 0.018 0.329
0.660 0.614 0.673
0.982 0.346 0.671
0.991 0.606 0.294
```

---

[3]
Starting from a DFT-relaxed cell (GGA-PBE, Alexandria), the X-ray powder pattern of In4As5 was computed for λ = 1.5418 Å (Cu Kα).

Main lines, in order of rising 2θ (2θ from 15° to 90°):
2θ 32.36, d 2.766, intensity 14; 2θ 34.38, d 2.608, intensity 45; 2θ 35.10, d 2.557, intensity 100; 2θ 48.48, d 1.878, intensity 17; 2θ 62.05, d 1.496, intensity 19; 2θ 63.43, d 1.467, intensity 15

Structural model:
```
In4As5
1.0
-5.533 5.533 1.773
5.533 -5.533 1.773
5.533 5.533 -1.773
In As
4 5
direct
0.000 0.304 0.304
0.000 0.696 0.696
0.304 0.000 0.304
0.696 0.000 0.696
0.000 0.000 0.000
0.311 0.311 0.621
0.311 0.689 0.000
0.689 0.311 0.000
0.689 0.689 0.379
```

---

[4]
Starting from a DFT-relaxed cell (GGA-PBE, Alexandria), the X-ray powder pattern of PrPa3P4 was computed for λ = 1.5418 Å (Cu Kα).

Main lines, in order of rising 2θ (2θ from 15° to 90°):
2θ 27.18, d 3.281, intensity 100; 2θ 31.48, d 2.841, intensity 96; 2θ 45.12, d 2.009, intensity 72; 2θ 53.48, d 1.713, intensity 50; 2θ 56.06, d 1.641, intensity 25; 2θ 74.70, d 1.271, intensity 33

Structural model:
```
PrPa3P4
1.0
4.019 -5.685 0.000
4.019 5.685 0.000
0.000 0.000 4.017
Pr Pa P
1 3 4
direct
0.000 0.000 0.000
0.000 0.500 0.500
0.500 0.000 0.500
0.500 0.500 0.000
0.254 0.746 0.000
0.261 0.261 0.500
0.739 0.739 0.500
0.746 0.254 0.000
```

---

Which formula does entry 2 have? CsCdPtCl6